For Sb5IO7, the GGA-PBE geometry in Alexandria gives the simulated powder XRD pattern in this record (Cu Kα X-rays).
Lines closer than 0.1° are merged.

The 10 most intense peaks (2θ from 15° to 90°), by angle:
| index | two_theta | I_rel |
| --- | --- | --- |
| 1 3 1 | 25.14 | 45 |
| 0 0 2 | 25.79 | 12 |
| 3 0 1 | 26.02 | 28 |
| 0 4 0 | 26.97 | 22 |
| 0 2 2 | 29.17 | 48 |
| 3 2 1 | 29.37 | 100 |
| 3 4 1 | 37.82 | 15 |
| 3 0 3 | 45.62 | 18 |
| 6 0 0 | 46.04 | 15 |
| 6 2 2 | 55.43 | 14 |

Crystal structure
```
data_Sb5IO7
_chemical_formula_sum 'Sb20 I4 O28'
_symmetry_space_group_name_H-M 'P n n 2'
_symmetry_Int_Tables_number 34
_cell_length_a 11.8283
_cell_length_b 13.2244
_cell_length_c 6.9090
_cell_angle_alpha 90.00
_cell_angle_beta 90.00
_cell_angle_gamma 90.00
loop_
_symmetry_equiv_pos_as_xyz
'x,y,z'
'-x,-y,z'
'-x+1/2,y+1/2,z+1/2'
'x+1/2,-y+1/2,z+1/2'
loop_
_atom_site_label
_atom_site_type_symbol
_atom_site_fract_x
_atom_site_fract_y
_atom_site_fract_z
Sb1 Sb 0.0071 0.2425 0.0000
Sb2 Sb 0.1550 0.2210 0.5391
Sb3 Sb 0.1679 0.5475 0.8388
Sb4 Sb 0.1847 0.9333 0.8487
Sb5 Sb 0.1887 0.7536 0.4929
I1 I 0.0000 0.0000 0.2643
I2 I 0.0000 0.5000 0.4074
O1 O 0.0268 0.6284 0.8658
O2 O 0.0473 0.8469 0.7813
O3 O 0.1592 0.2358 0.8444
O4 O 0.2180 0.8212 0.0406
O5 O 0.2370 0.3714 0.1198
O6 O 0.2423 0.6044 0.0794
O7 O 0.2488 0.6628 0.6986
```


For Sb5IO7, the GGA-PBE geometry in Alexandria gives the simulated powder XRD pattern in this record (Cu Kα X-rays).
Lines closer than 0.1° are merged.

The 10 most intense peaks (2θ from 15° to 90°), by angle:
| index | two_theta | I_rel |
| --- | --- | --- |
| 1 0 3 | 25.38 | 28 |
| 1 1 0 | 25.65 | 25 |
| 0 0 4 | 27.52 | 13 |
| 1 1 2 | 29.17 | 100 |
| 1 1 4 | 37.97 | 16 |
| 3 0 0 | 45.22 | 21 |
| 1 1 6 | 49.69 | 9 |
| 3 0 4 | 53.76 | 16 |
| 2 2 2 | 54.72 | 14 |
| 4 1 2 | 73.63 | 10 |

Crystal structure
```
data_Sb5IO7
_chemical_formula_sum 'Sb10 I2 O14'
_symmetry_space_group_name_H-M 'P -6 2 c'
_symmetry_Int_Tables_number 190
_symmetry_space_group_name_Hall 'P -6c -2c'
_cell_length_a 6.9459
_cell_length_b 6.9459
_cell_length_c 12.9645
_cell_angle_alpha 90.00
_cell_angle_beta 90.00
_cell_angle_gamma 120.00
loop_
_atom_site_label
_atom_site_type_symbol
_atom_site_fract_x
_atom_site_fract_y
_atom_site_fract_z
Sb1 Sb 0.0385 0.3608 0.2500
Sb2 Sb 0.3333 0.6667 0.5535
I1 I 0.0000 0.0000 0.0000
O1 O 0.0578 0.5520 0.6403
O2 O 0.3333 0.6667 0.2500
```


For YSb2IO, the GGA-PBE geometry in Alexandria gives the simulated powder XRD pattern in this record (Cu Kα X-rays).
Lines closer than 0.1° are merged.

The 10 most intense peaks (2θ from 15° to 90°), by angle:
| index | two_theta | I_rel |
| --- | --- | --- |
| 0 0 2 | 29.44 | 35 |
| 1 1 1 | 31.60 | 100 |
| 2 0 0 | 39.82 | 31 |
| 2 0 2 | 50.29 | 31 |
| 1 1 3 | 53.60 | 22 |
| 2 2 0 | 57.59 | 10 |
| 2 2 2 | 65.99 | 13 |
| 3 1 1 | 67.18 | 22 |
| 2 0 4 | 75.44 | 9 |
| 3 1 3 | 82.56 | 13 |

Crystal structure
```
data_YSb2IO
_chemical_formula_sum 'Y1 Sb2 I1 O1'
_symmetry_space_group_name_H-M 'P 4/m m m'
_symmetry_Int_Tables_number 123
_symmetry_space_group_name_Hall '-P 4 2'
_cell_length_a 4.5272
_cell_length_b 4.5272
_cell_length_c 6.0675
_cell_angle_alpha 90.00
_cell_angle_beta 90.00
_cell_angle_gamma 90.00
loop_
_atom_site_label
_atom_site_type_symbol
_atom_site_fract_x
_atom_site_fract_y
_atom_site_fract_z
Y1 Y 0.0000 0.0000 0.0000
Sb1 Sb 0.0000 0.5000 0.5000
I1 I 0.5000 0.5000 0.0000
O1 O 0.5000 0.5000 0.5000
```


For Sc4IO2, the GGA-PBE geometry in Alexandria gives the simulated powder XRD pattern in this record (Cu Kα X-rays).
Lines closer than 0.1° are merged.

The 10 most intense peaks (2θ from 15° to 90°), by angle:
| index | two_theta | I_rel |
| --- | --- | --- |
| 1 0 1 | 18.58 | 71 |
| 1 1 0 | 24.20 | 57 |
| 1 0 3 | 28.04 | 61 |
| 0 0 4 | 29.60 | 52 |
| 2 0 0 | 34.49 | 100 |
| 2 0 2 | 37.67 | 26 |
| 2 1 3 | 45.03 | 35 |
| 2 0 4 | 46.08 | 58 |
| 2 2 0 | 49.58 | 33 |
| 2 2 4 | 58.81 | 27 |

Crystal structure
```
data_Sc4IO2
_chemical_formula_sum 'Sc8 I2 O4'
_symmetry_space_group_name_H-M 'I 4/m m m'
_symmetry_Int_Tables_number 139
_symmetry_space_group_name_Hall '-I 4 2'
_cell_length_a 5.2004
_cell_length_b 5.2004
_cell_length_c 12.0698
_cell_angle_alpha 90.00
_cell_angle_beta 90.00
_cell_angle_gamma 90.00
loop_
_atom_site_label
_atom_site_type_symbol
_atom_site_fract_x
_atom_site_fract_y
_atom_site_fract_z
Sc1 Sc 0.0000 0.0000 0.2448
Sc2 Sc 0.0000 0.5000 0.0000
I1 I 0.0000 0.0000 0.5000
O1 O 0.0000 0.0000 0.0959
```


For Sr2ScIO6, the GGA-PBE geometry in Alexandria gives the simulated powder XRD pattern in this record (Cu Kα X-rays).
Lines closer than 0.1° are merged.

The 10 most intense peaks (2θ from 15° to 90°), by angle:
| index | two_theta | I_rel |
| --- | --- | --- |
| 1 0 1 | 18.49 | 22 |
| 1 1 0 | 30.37 | 95 |
| 1 0 4 | 30.66 | 100 |
| 0 2 4 | 43.70 | 64 |
| 3 0 0 | 53.96 | 25 |
| 3 -1 4 | 54.14 | 42 |
| 0 1 8 | 54.67 | 19 |
| 2 2 0 | 63.19 | 17 |
| 2 0 8 | 63.83 | 19 |
| 1 2 8 | 72.32 | 18 |

Crystal structure
```
data_Sr2ScIO6
_chemical_formula_sum 'Sr6 Sc3 I3 O18'
_symmetry_space_group_name_H-M 'R 3'
_symmetry_Int_Tables_number 146
_symmetry_space_group_name_Hall 'R 3'
_cell_length_a 5.8861
_cell_length_b 5.8861
_cell_length_c 14.2234
_cell_angle_alpha 90.00
_cell_angle_beta 90.00
_cell_angle_gamma 120.00
loop_
_atom_site_label
_atom_site_type_symbol
_atom_site_fract_x
_atom_site_fract_y
_atom_site_fract_z
Sr1 Sr 0.0000 0.0000 0.0000
Sr2 Sr 0.0000 0.0000 0.4999
Sc1 Sc 0.0000 0.0000 0.2496
I1 I 0.0000 0.0000 0.7495
O1 O 0.0003 0.4313 0.4991
O2 O 0.0983 0.7635 0.3327
```


For SrScIO6, the GGA-PBE geometry in Alexandria gives the simulated powder XRD pattern in this record (Cu Kα X-rays).
Lines closer than 0.1° are merged.

The 10 most intense peaks (2θ from 15° to 90°), by angle:
| index | two_theta | I_rel |
| --- | --- | --- |
| 0 0 2 | 16.71 | 19 |
| 1 0 1 | 20.74 | 31 |
| 1 0 2 | 25.37 | 100 |
| 1 1 0 | 33.14 | 35 |
| 1 1 2 | 37.33 | 11 |
| 2 0 2 | 42.19 | 22 |
| 1 1 4 | 48.05 | 47 |
| 2 1 2 | 54.67 | 22 |
| 1 0 6 | 55.54 | 9 |
| 3 0 0 | 59.20 | 14 |

Crystal structure
```
data_SrScIO6
_chemical_formula_sum 'Sr2 Sc2 I2 O12'
_symmetry_space_group_name_H-M 'P -3 1 c'
_symmetry_Int_Tables_number 163
_symmetry_space_group_name_Hall '-P 3 2c'
_cell_length_a 5.4065
_cell_length_b 5.4065
_cell_length_c 10.6129
_cell_angle_alpha 90.00
_cell_angle_beta 90.00
_cell_angle_gamma 120.00
loop_
_atom_site_label
_atom_site_type_symbol
_atom_site_fract_x
_atom_site_fract_y
_atom_site_fract_z
Sr1 Sr 0.0000 0.0000 0.0000
Sc1 Sc 0.3333 0.6667 0.2500
I1 I 0.3333 0.6667 0.7500
O1 O 0.0303 0.3914 0.6477
```


For TbSc2IO8, the GGA-PBE geometry in Alexandria gives the simulated powder XRD pattern in this record (Cu Kα X-rays).
Lines closer than 0.1° are merged.

The 10 most intense peaks (2θ from 15° to 90°), by angle:
| index | two_theta | I_rel |
| --- | --- | --- |
| 1 1 0 | 18.29 | 73 |
| 0 2 0 | 25.92 | 64 |
| 2 0 0 | 26.03 | 65 |
| 1 1 2 | 32.74 | 100 |
| 2 2 0 | 37.07 | 24 |
| 2 0 2 | 37.79 | 30 |
| 1 3 2 | 50.21 | 42 |
| 3 1 2 | 50.34 | 43 |
| 2 0 4 | 62.25 | 20 |
| 3 3 2 | 64.08 | 26 |

Crystal structure
```
data_TbSc2IO8
_chemical_formula_sum 'Tb2 Sc4 I2 O16'
_symmetry_space_group_name_H-M 'C m m m'
_symmetry_Int_Tables_number 65
_symmetry_space_group_name_Hall '-C 2 2'
_cell_length_a 6.8451
_cell_length_b 6.8755
_cell_length_c 6.6246
_cell_angle_alpha 90.00
_cell_angle_beta 90.00
_cell_angle_gamma 90.00
loop_
_atom_site_label
_atom_site_type_symbol
_atom_site_fract_x
_atom_site_fract_y
_atom_site_fract_z
Tb1 Tb 0.0000 0.0000 0.0000
Sc1 Sc 0.0000 0.5000 0.2418
I1 I 0.0000 0.0000 0.5000
O1 O 0.0000 0.2771 0.5000
O2 O 0.0000 0.3191 0.0000
O3 O 0.1899 0.0000 0.2888
```